1.
Starting from a structure optimized by DFT (GGA-PBE), the powder XRD pattern of Dy5Pa3Sb8 was simulated for Cu Kα X-rays.
Neutral-atom scattering factors, no anomalous dispersion.

Main lines, low angle first (10 to 90 degrees two-theta):
- hkl 0 2 4, 28.83 deg, rel. 100
- hkl 2 0 8, 41.17 deg, rel. 38
- hkl 2 2 0, 41.29 deg, rel. 38
- hkl 4 0 4, 51.14 deg, rel. 21
- hkl 2 2 12, 67.58 deg, rel. 18
- hkl 6 0 0, 75.23 deg, rel. 20

Atomic structure:
```
data_Dy5Pa3Sb8
_chemical_formula_sum 'Dy15 Pa9 Sb24'
_cell_length_a 8.7459
_cell_length_b 8.7459
_cell_length_c 21.5111
_cell_angle_alpha 90.00
_cell_angle_beta 90.00
_cell_angle_gamma 120.00
_symmetry_space_group_name_H-M 'R -3 m'
_symmetry_Int_Tables_number 166
_symmetry_space_group_name_Hall '-R 3 2"'
loop_
_atom_site_label
_atom_site_fract_x
_atom_site_fract_y
_atom_site_fract_z
Dy1 0.0000 0.0000 0.0000
Dy2 0.0000 0.0000 0.5000
Dy3 0.0000 0.5000 0.0000
Pa1 0.0000 0.5000 0.5000
Sb1 0.0000 0.0000 0.2507
Sb2 0.0001 0.5000 0.2501
```

***

2.
Starting from a structure optimized by DFT (GGA-PBE), the powder XRD pattern of Dy6PaSe8 was simulated for Cu Kα X-rays.
Neutral-atom scattering factors, no anomalous dispersion.

Main lines, low angle first (10 to 90 degrees two-theta):
- hkl 2 2 2, 26.89 deg, rel. 17
- hkl 4 0 0, 31.15 deg, rel. 100
- hkl 4 4 0, 44.63 deg, rel. 74
- hkl 4 4 4, 55.42 deg, rel. 26
- hkl 8 4 0, 73.79 deg, rel. 33
- hkl 8 4 4, 82.24 deg, rel. 25

Atomic structure:
```
data_Dy6PaSe8
_chemical_formula_sum 'Dy24 Pa4 Se32'
_cell_length_a 11.4858
_cell_length_b 11.4858
_cell_length_c 11.4858
_cell_angle_alpha 90.00
_cell_angle_beta 90.00
_cell_angle_gamma 90.00
_symmetry_space_group_name_H-M 'F m -3 m'
_symmetry_Int_Tables_number 225
_symmetry_space_group_name_Hall '-F 4 2 3'
loop_
_atom_site_label
_atom_site_fract_x
_atom_site_fract_y
_atom_site_fract_z
Dy1 0.0000 0.2500 0.2500
Pa1 0.0000 0.0000 0.0000
Se1 0.0000 0.0000 0.2563
Se2 0.2500 0.2500 0.2500
```

***

3.
Starting from a structure optimized by DFT (GGA-PBE), the powder XRD pattern of DyPa6Se12 was simulated for Cu Kα X-rays.
Neutral-atom scattering factors, no anomalous dispersion.

Main lines, low angle first (10 to 90 degrees two-theta):
- hkl 3 -1 1, 22.69 deg, rel. 100
- hkl 0 0 3, 23.15 deg, rel. 29
- hkl 4 -1 2, 33.16 deg, rel. 22
- hkl 4 1 0, 37.37 deg, rel. 55
- hkl 3 -1 4, 37.96 deg, rel. 46
- hkl 4 1 3, 44.42 deg, rel. 20

Atomic structure:
```
data_DyPa6Se12
_chemical_formula_sum 'Dy3 Pa18 Se36'
_cell_length_a 12.7327
_cell_length_b 12.7327
_cell_length_c 11.5260
_cell_angle_alpha 90.00
_cell_angle_beta 90.00
_cell_angle_gamma 120.00
_symmetry_space_group_name_H-M 'R -3'
_symmetry_Int_Tables_number 148
_symmetry_space_group_name_Hall '-R 3'
loop_
_atom_site_label
_atom_site_fract_x
_atom_site_fract_y
_atom_site_fract_z
Dy1 0.0000 0.0000 0.0000
Pa1 0.0490 0.7761 0.6413
Se1 0.0340 0.8228 0.3881
Se2 0.0511 0.8405 0.8820
```

***

4.
Starting from a structure optimized by DFT (GGA-PBE), the powder XRD pattern of DyPa2Se5 was simulated for Cu Kα X-rays.
Neutral-atom scattering factors, no anomalous dispersion.

Main lines, low angle first (10 to 90 degrees two-theta):
- hkl 2 0 0, 21.98 deg, rel. 45
- hkl 1 3 0, 24.13 deg, rel. 61
- hkl 1 3 1, 33.11 deg, rel. 43
- hkl 2 2 1, 34.75 deg, rel. 100
- hkl 3 3 0, 39.89 deg, rel. 41
- hkl 1 5 1, 44.40 deg, rel. 44

Atomic structure:
```
data_DyPa2Se5
_chemical_formula_sum 'Dy2 Pa4 Se10'
_cell_length_a 8.0894
_cell_length_b 12.4292
_cell_length_c 3.9830
_cell_angle_alpha 90.00
_cell_angle_beta 90.00
_cell_angle_gamma 90.00
_symmetry_space_group_name_H-M 'P b a m'
_symmetry_Int_Tables_number 55
loop_
_symmetry_equiv_pos_as_xyz
'x,y,z'
'-x,-y,-z'
'-x,-y,z'
'x,y,-z'
'x+1/2,-y+1/2,-z'
'-x+1/2,y+1/2,z'
'-x+1/2,y+1/2,-z'
'x+1/2,-y+1/2,z'
loop_
_atom_site_label
_atom_site_fract_x
_atom_site_fract_y
_atom_site_fract_z
Dy1 0.0000 0.0000 0.0000
Pa1 0.0235 0.3214 0.5000
Se1 0.0000 0.5000 0.0000
Se2 0.1748 0.1063 0.5000
Se3 0.1850 0.8032 0.0000
```